# NdHo3S6
Simulated powder XRD pattern, λ = 1.5418 Å (Cu Kα). Input: a crystal structure in the Materials Project, relaxed with GGA-PBE.

Peak list (10 most intense, 15 to 90 degrees two-theta, low angle first)
- d 3.763, I = 794
- d 3.690, I = 1000
- d 3.393, I = 648
- d 3.255, I = 455
- d 3.229, I = 493
- d 2.887, I = 704
- d 2.624, I = 533
- d 2.138, I = 750
- d 2.061, I = 399
- d 1.988, I = 506

Atomic structure:
Cell lengths 11.072, 3.975, 11.290 Å; angles 90.00, 108.78, 90.00 degrees
Fractional positions:
Nd1 0.048 0.250 0.194
Nd2 0.952 0.750 0.806
Ho1 0.161 0.250 0.586
Ho2 0.319 0.750 0.998
Ho3 0.438 0.250 0.333
Ho4 0.562 0.750 0.667
Ho5 0.681 0.250 0.002
Ho6 0.839 0.750 0.414
S1 0.081 0.750 0.405
S2 0.117 0.250 0.963
S3 0.194 0.750 0.748
S4 0.262 0.750 0.227
S5 0.397 0.250 0.562
S6 0.478 0.250 0.112
S7 0.522 0.750 0.888
S8 0.603 0.750 0.438
S9 0.738 0.250 0.773
S10 0.806 0.250 0.252
S11 0.883 0.750 0.037
S12 0.919 0.250 0.595


# NdHoTl2
Simulated powder XRD pattern, λ = 1.5418 Å (Cu Kα). Input: a crystal structure in the Materials Project, relaxed with GGA-PBE.

Peak list (9 most intense, 15 to 90 degrees two-theta, low angle first)
- d 3.849, I = 19
- d 2.721, I = 1000
- d 2.222, I = 7
- d 1.924, I = 185
- d 1.721, I = 9
- d 1.571, I = 388
- d 1.361, I = 120
- d 1.217, I = 168
- d 1.111, I = 44

Atomic structure:
Cell lengths 7.697, 7.697, 7.697 Å; angles 90.00, 90.00, 90.00 degrees
Fractional positions:
Nd1 0.000 0.000 0.000
Nd2 0.000 0.500 0.500
Nd3 0.500 0.000 0.500
Nd4 0.500 0.500 0.000
Ho1 0.000 0.000 0.500
Ho2 0.000 0.500 0.000
Ho3 0.500 0.000 0.000
Ho4 0.500 0.500 0.500
Tl1 0.250 0.250 0.250
Tl2 0.250 0.250 0.750
Tl3 0.250 0.750 0.250
Tl4 0.250 0.750 0.750
Tl5 0.750 0.250 0.250
Tl6 0.750 0.250 0.750
Tl7 0.750 0.750 0.250
Tl8 0.750 0.750 0.750


# NdHoZn2
Simulated powder XRD pattern, λ = 1.5418 Å (Cu Kα). Input: a crystal structure in the Materials Project, relaxed with GGA-PBE.

Peak list (10 most intense, 15 to 90 degrees two-theta, low angle first)
- d 3.621, I = 163
- d 2.561, I = 1000
- d 2.091, I = 50
- d 1.811, I = 177
- d 1.619, I = 70
- d 1.478, I = 359
- d 1.280, I = 110
- d 1.207, I = 35
- d 1.145, I = 155
- d 1.092, I = 22

Atomic structure:
Cell lengths 7.242, 7.242, 7.242 Å; angles 90.00, 90.00, 90.00 degrees
Fractional positions:
Nd1 0.000 0.000 0.000
Nd2 0.000 0.500 0.500
Nd3 0.500 0.000 0.500
Nd4 0.500 0.500 0.000
Ho1 0.000 0.000 0.500
Ho2 0.000 0.500 0.000
Ho3 0.500 0.000 0.000
Ho4 0.500 0.500 0.500
Zn1 0.250 0.250 0.250
Zn2 0.250 0.250 0.750
Zn3 0.250 0.750 0.250
Zn4 0.250 0.750 0.750
Zn5 0.750 0.250 0.250
Zn6 0.750 0.250 0.750
Zn7 0.750 0.750 0.250
Zn8 0.750 0.750 0.750


# Ho3Ni2
Simulated powder XRD pattern, λ = 1.5418 Å (Cu Kα). Input: a crystal structure in the Materials Project, relaxed with GGA-PBE.

Peak list (10 most intense, 15 to 90 degrees two-theta, low angle first)
- d 3.155, I = 422
- d 3.011, I = 472
- d 2.774, I = 439
- d 2.689, I = 1000
- d 2.578, I = 608
- d 2.552, I = 487
- d 2.527, I = 397
- d 2.137, I = 375
- d 1.931, I = 283
- d 1.844, I = 332

Atomic structure:
Cell lengths 6.811, 6.811, 9.387 Å; angles 105.15, 105.15, 31.42 degrees
Fractional positions:
Ho1 0.097 0.097 0.173
Ho2 0.356 0.356 0.132
Ho3 0.368 0.368 0.503
Ho4 0.632 0.632 0.497
Ho5 0.644 0.644 0.868
Ho6 0.903 0.903 0.827
Ni1 0.036 0.036 0.644
Ni2 0.243 0.243 0.727
Ni3 0.757 0.757 0.273
Ni4 0.964 0.964 0.356